1.
For Tm2Tl3SnS6, a cell relaxed with PBE gives the computed PXRD pattern in this record (Cu Kα, 1.54184 Å).
Lines closer than 0.1° are merged.

Atomic structure:
```
data_Tm2Tl3SnS6
_symmetry_space_group_name_H-M 'C 1 2/m 1'
_symmetry_Int_Tables_number 12
_symmetry_space_group_name_Hall '-C 2y'
_cell_length_a 6.9139
_cell_length_b 11.9883
_cell_length_c 7.8243
_cell_angle_alpha 90.00
_cell_angle_beta 107.02
_cell_angle_gamma 90.00
loop_
_atom_site_label
_atom_site_type_symbol
_atom_site_fract_x
_atom_site_fract_y
_atom_site_fract_z
Tm1 Tm 0.0000 0.1666 0.0000
Tl1 Tl 0.0000 0.0000 0.5000
Tl2 Tl 0.0000 0.3312 0.5000
Sn1 Sn 0.0000 0.5000 0.0000
S1 S 0.2302 0.0000 0.1966
S2 S 0.2325 0.3323 0.1957
```

Most intense lines, 10 to 90 degrees two-theta, in order of rising 2θ:
2θ/deg, Rel. int., h k l
23.79, 32, 0 0 2
26.97, 64, 2 0 0
30.36, 100, 1 3 1
41.44, 39, 2 0 2
45.42, 34, 0 6 0
48.34, 17, 1 3 3
51.90, 25, 3 3 1
53.62, 10, 4 0 -2
55.61, 18, 4 0 0
68.73, 10, 3 3 3
74.49, 10, 4 6 0
81.17, 11, 5 3 1


2.
For YTc2P2, a cell relaxed with PBE gives the computed PXRD pattern in this record (Cu Kα, 1.54184 Å).
Lines closer than 0.1° are merged.

Atomic structure:
```
data_YTc2P2
_symmetry_space_group_name_H-M 'I 4/m m m'
_symmetry_Int_Tables_number 139
_symmetry_space_group_name_Hall '-I 4 2'
_cell_length_a 4.1654
_cell_length_b 4.1654
_cell_length_c 9.4568
_cell_angle_alpha 90.00
_cell_angle_beta 90.00
_cell_angle_gamma 90.00
loop_
_atom_site_label
_atom_site_type_symbol
_atom_site_fract_x
_atom_site_fract_y
_atom_site_fract_z
Y1 Y 0.0000 0.0000 0.0000
Tc1 Tc 0.0000 0.5000 0.2500
P1 P 0.0000 0.0000 0.3685
```

Most intense lines, 10 to 90 degrees two-theta, in order of rising 2θ:
2θ/deg, Rel. int., h k l
18.77, 22, 0 0 2
23.34, 8, 1 0 1
35.72, 24, 1 0 3
35.92, 100, 1 1 2
38.06, 14, 0 0 4
43.45, 44, 2 0 0
49.43, 14, 1 1 4
57.46, 11, 2 1 3
59.11, 15, 2 0 4
63.13, 14, 2 2 0
67.39, 17, 1 1 6
74.82, 22, 3 1 2


3.
For Er4Al2Ga, a cell relaxed with PBE gives the computed PXRD pattern in this record (Cu Kα, 1.54184 Å).
Lines closer than 0.1° are merged.

Atomic structure:
```
data_Er4Al2Ga
_symmetry_space_group_name_H-M 'R -3 m'
_symmetry_Int_Tables_number 166
_symmetry_space_group_name_Hall '-R 3 2"'
_cell_length_a 5.0050
_cell_length_b 5.0050
_cell_length_c 24.5478
_cell_angle_alpha 90.00
_cell_angle_beta 90.00
_cell_angle_gamma 120.00
loop_
_atom_site_label
_atom_site_type_symbol
_atom_site_fract_x
_atom_site_fract_y
_atom_site_fract_z
Er1 Er 0.0000 0.0000 0.1215
Er2 Er 0.0000 0.0000 0.3730
Al1 Al 0.0000 0.0000 0.2499
Ga1 Ga 0.0000 0.0000 0.5000
```

Most intense lines, 10 to 90 degrees two-theta, in order of rising 2θ:
2θ/deg, Rel. int., h k l
25.15, 57, 1 0 4
27.45, 2, 0 1 5
32.85, 2, 1 0 7
35.87, 100, 1 1 0
44.31, 17, 0 2 4
51.63, 18, 2 0 8
58.27, 22, 2 1 4
64.47, 36, 3 0 0
76.03, 11, 2 2 0
81.55, 6, 3 0 12
81.61, 4, 1 3 4
87.04, 16, 3 1 8


What is the formula in the second record? YTc2P2